For PrB4Ir2Os2, DFT lattice parameters and positions (GGA-PBE) gives the calculated X-ray diffraction stick pattern in this record (copper Kα).

Structure:
```
PrB4Ir2Os2
1.0
7.668 0.000 0.000
0.000 7.668 0.000
0.000 0.000 4.006
Pr B Ir Os
2 8 4 4
direct
0.000 0.500 0.000
0.500 0.000 0.500
0.162 0.215 0.620
0.215 0.838 0.120
0.277 0.662 0.400
0.338 0.277 0.900
0.662 0.723 0.900
0.723 0.338 0.400
0.785 0.162 0.120
0.838 0.785 0.620
0.344 0.391 0.396
0.391 0.656 0.896
0.609 0.344 0.896
0.656 0.609 0.396
0.108 0.854 0.617
0.146 0.108 0.117
0.854 0.892 0.117
0.892 0.146 0.617
```

Peak list (6 most intense, 5 to 70 degrees two-theta, sorted by position)
16.3 deg, I 29, hkl 1 1 0; 27.7 deg, I 21, hkl 1 1 1; 34.4 deg, I 100, hkl 2 1 1; 37.1 deg, I 60, hkl 1 3 0; 40.2 deg, I 30, hkl 2 2 1; 46.9 deg, I 26, hkl 1 0 2